(1)
Sc2CdTc: simulated PXRD pattern (Cu Ka), based on a cell relaxed with PBE.
No peak broadening, texture or thermal motion is included.

Most intense lines, 2θ = 15–90°, low angle first:
Position (°2θ)	I (rel.)	h k l
26.49	145	1 0 1
26.60	72	0 2 0
37.86	1000	2 0 0
46.83	64	2 2 0
54.55	110	2 0 2
54.78	54	0 4 0
61.66	56	3 0 1
68.33	214	3 2 1
68.49	106	2 4 0
80.98	66	2 4 2

Structure:
```
data_Sc2CdTc
_chemical_formula_sum 'Sc4 Cd2 Tc2'
_space_group_name_H-M_alt 'P m m n'
_space_group_IT_number 59
_cell_length_a 4.7580
_cell_length_b 6.7025
_cell_length_c 4.7591
_cell_angle_alpha 90.00
_cell_angle_beta 90.00
_cell_angle_gamma 90.00
loop_
_space_group_symop_operation_xyz
'x,y,z'
'-x,-y,-z'
'-x+1/2,-y+1/2,z'
'x+1/2,y+1/2,-z'
'x+1/2,-y,-z'
'-x+1/2,y,z'
'-x,y+1/2,-z'
'x,-y+1/2,z'
loop_
_atom_site_label
_atom_site_fract_x
_atom_site_fract_y
_atom_site_fract_z
Sc1 0.2500 0.0000 0.2496
Cd1 0.2500 0.2500 0.7494
Tc1 0.2500 0.7500 0.7498
```

(2)
Lu2Zr4Sb3N3: simulated PXRD pattern (Cu Ka), based on a cell relaxed with PBE.
No peak broadening, texture or thermal motion is included.

Most intense lines, 2θ = 15–90°, low angle first:
Position (°2θ)	I (rel.)	h k l
29.90	229	0 2 0
35.72	1000	3 1 -4
38.74	163	0 0 6
49.69	147	0 2 6
53.03	150	3 3 -1
53.20	74	6 0 -2
65.71	109	6 2 -5
67.58	125	3 3 -7
67.73	64	6 0 -8
68.16	141	3 1 -10

Structure:
```
data_Lu2Zr4Sb3N3
_chemical_formula_sum 'Lu8 Zr16 Sb12 N12'
_space_group_name_H-M_alt 'C 1 2/c 1'
_space_group_IT_number 15
_space_group_name_Hall '-C 2yc'
_cell_length_a 10.3295
_cell_length_b 5.9881
_cell_length_c 14.3677
_cell_angle_alpha 90.00
_cell_angle_beta 103.89
_cell_angle_gamma 90.00
loop_
_atom_site_label
_atom_site_fract_x
_atom_site_fract_y
_atom_site_fract_z
Lu1 0.0528 0.0827 0.4099
Zr1 0.1116 0.4172 0.5846
Zr2 0.2214 0.4161 0.9154
Sb1 0.0000 0.4284 0.2500
Sb2 0.1727 0.0893 0.7502
N1 0.0818 0.2454 0.0000
N2 0.2500 0.2500 0.5000
```

(3)
RbNbAuO3: simulated PXRD pattern (Cu Ka), based on a cell relaxed with PBE.
No peak broadening, texture or thermal motion is included.

Most intense lines, 2θ = 15–90°, low angle first:
Position (°2θ)	I (rel.)	h k l
27.43	510	3 0 2
28.42	445	4 0 0
33.66	1000	1 1 2
36.33	200	3 1 1
37.71	183	2 0 4
38.37	298	0 1 3
39.46	432	3 1 2
49.34	197	5 1 2
54.13	299	7 0 2
57.45	199	0 2 0

Structure:
```
data_RbNbAuO3
_chemical_formula_sum 'Rb4 Nb4 Au4 O12'
_space_group_name_H-M_alt 'P n m a'
_space_group_IT_number 62
_space_group_name_Hall '-P 2ac 2n'
_cell_length_a 12.5629
_cell_length_b 3.2090
_cell_length_c 10.3159
_cell_angle_alpha 90.00
_cell_angle_beta 90.00
_cell_angle_gamma 90.00
loop_
_atom_site_label
_atom_site_fract_x
_atom_site_fract_y
_atom_site_fract_z
Rb1 0.2405 0.2500 0.0760
Nb1 0.0307 0.7500 0.3580
Au1 0.0270 0.7500 0.9032
O1 0.0600 0.7500 0.6979
O2 0.0828 0.2500 0.4764
O3 0.1564 0.7500 0.2740
```